Starting from a cell relaxed with PBE, the powder XRD pattern of Na2SnHg was computed for a wavelength of 1.5418 Å.

Structure:
Unit cell a=7.8177 b=6.0952 c=9.6144 alpha=90.00 beta=90.00 gamma=90.00
Space group Pnna (No. 52)
One atom of each set of equivalent atoms:
Na (0.0897, 0.2498, 0.0670) x8
Sn (0.0620, 0.7500, 0.2500) x4
Hg (0.2500, 0.0000, 0.7492) x4

Main lines, most intense first (10 to 90 degrees two-theta):
d_spacing	two_theta	Rel. int.	(hkl)
4.807	18.46	100	0 0 2
2.722	32.91	95	1 2 1
6.066	14.60	81	1 0 1
2.403	37.42	62	0 0 4
2.515	35.70	53	3 0 1
2.150	42.03	46	2 2 2
4.299	20.66	34	1 1 1
2.125	42.54	29	1 2 3

Starting from a cell relaxed with PBE, the powder XRD pattern of NdGa5 was computed for a wavelength of 1.5418 Å.

Structure:
Unit cell a=4.3819 b=12.3362 c=4.4838 alpha=90.00 beta=90.00 gamma=90.00
Space group Cmmm (No. 65)
One atom of each set of equivalent atoms:
Nd (0.0000, 0.0000, 0.0000) x2
Ga (0.0000, 0.1756, 0.5000) x4
Ga (0.0000, 0.3152, 0.0000) x4
Ga (0.0000, 0.5000, 0.5000) x2

Main lines, most intense first (10 to 90 degrees two-theta):
d_spacing	two_theta	Rel. int.	(hkl)
2.493	36.03	100	1 3 1
2.242	40.23	19	0 0 2
2.191	41.20	18	2 0 0
1.338	70.38	14	1 3 3
1.316	71.73	13	3 3 1
2.056	44.04	12	0 6 0
1.567	58.94	12	2 0 2
1.246	76.43	9	2 6 2